# 1
For LaCoW2, the GGA-PBE geometry in Alexandria gives the theoretical XRD peak list in this record (CuKα).
Neutral-atom scattering factors, no anomalous dispersion.

Top 6 peaks for 10 to 80 degrees two-theta, by intensity:
Position (°2θ)	I/Imax	h k l
37.6	100	1 0 2
44.6	45	1 1 0
62.9	27	1 1 4
10.3	26	0 0 1
77.5	24	2 1 2
32.8	16	1 0 1

Cell and atoms:
Cell: 2.876 2.876 8.607 Å, 90.00 90.00 90.00°
Space group P4mm (No. 99)
Inequivalent atoms, fractional coordinates:
La1 0.000 0.000 0.000 x1
Co1 0.500 0.500 0.724 x1
W1 0.000 0.000 0.556 x1
W2 0.500 0.500 0.308 x1

***

# 2
For DyTm3Zn2, the GGA-PBE geometry in Alexandria gives the theoretical XRD peak list in this record (CuKα).
Neutral-atom scattering factors, no anomalous dispersion.

Top 6 peaks for 10 to 80 degrees two-theta, by intensity:
Position (°2θ)	I/Imax	h k l
33.9	100	1 0 3
36.1	58	1 1 0
63.5	32	2 1 3
51.9	20	2 0 0
29.4	19	1 0 2
39.4	14	1 0 4

Cell and atoms:
Cell: 3.521 3.521 12.042 Å, 90.00 90.00 90.00°
Space group P4/mmm (No. 123)
Inequivalent atoms, fractional coordinates:
Dy1 0.000 0.000 0.000 x1
Tm1 0.500 0.500 0.210 x2
Tm2 0.500 0.500 0.500 x1
Zn1 0.000 0.000 0.356 x2

***

# 3
For Rb3In5Au3, the GGA-PBE geometry in Alexandria gives the theoretical XRD peak list in this record (CuKα).
Neutral-atom scattering factors, no anomalous dispersion.

Top 6 peaks for 10 to 80 degrees two-theta, by intensity:
Position (°2θ)	I/Imax	h k l
13.1	100	0 0 1
45.3	52	3 0 2
26.3	50	0 0 2
36.2	49	3 0 0
20.7	40	1 1 0
38.7	28	3 0 1

Cell and atoms:
Cell: 8.5911 8.5911 6.7732 Å, 90.00 90.00 120.00°
Space group P-62m (No. 189)
Inequivalent atoms, fractional coordinates:
Rb1 0.0000 0.6642 0.0000 x3
In1 0.0000 0.2733 0.5000 x3
In2 0.3333 0.6667 0.5000 x2
Au1 0.0000 0.6383 0.5000 x3

***

# 4
For LaSiBPd6, the GGA-PBE geometry in Alexandria gives the theoretical XRD peak list in this record (CuKα).
Neutral-atom scattering factors, no anomalous dispersion.

Top 6 peaks for 10 to 80 degrees two-theta, by intensity:
Position (°2θ)	I/Imax	h k l
33.3	100	2 2 0
46.9	42	2 2 4
34.9	35	1 2 3
32.1	28	0 0 4
44.0	28	0 4 0
36.3	24	1 1 4

Cell and atoms:
Cell: 7.118 8.227 11.157 Å, 90.00 90.00 90.00°
Space group Imma (No. 74)
Inequivalent atoms, fractional coordinates:
La1 0.000 0.250 0.176 x4
Si1 0.250 0.250 0.750 x4
B1 0.000 0.000 0.500 x4
Pd1 0.000 0.250 0.451 x4
Pd2 0.000 0.250 0.889 x4
Pd3 0.215 0.019 0.625 x16

***

# 5
For Rb2TlAg, the GGA-PBE geometry in Alexandria gives the theoretical XRD peak list in this record (CuKα).
Neutral-atom scattering factors, no anomalous dispersion.

Top 6 peaks for 10 to 80 degrees two-theta, by intensity:
Position (°2θ)	I/Imax	h k l
27.6	100	3 1 0
32.1	70	2 2 -1
14.8	63	1 1 0
45.3	42	1 3 1
27.7	40	3 1 -1
16.3	21	2 0 0

Cell and atoms:
Cell: 11.849 7.211 4.830 Å, 90.00 113.74 90.00°
Space group C2 (No. 5)
Inequivalent atoms, fractional coordinates:
Rb1 0.192 0.000 0.193 x4
Tl1 0.000 0.502 0.000 x2
Ag1 0.000 0.287 0.500 x2

***

# 6
For Na4Bi2AsC4O16, the GGA-PBE geometry in Alexandria gives the theoretical XRD peak list in this record (CuKα).
Neutral-atom scattering factors, no anomalous dispersion.

Top 6 peaks for 10 to 80 degrees two-theta, by intensity:
Position (°2θ)	I/Imax	h k l
10.3	100	1 1 1
20.7	93	2 2 2
19.1	82	1 1 3
20.4	62	3 1 1
19.9	59	1 3 1
33.9	41	4 0 4

Cell and atoms:
Cell: 14.327 14.719 15.674 Å, 90.00 90.00 90.00°
Space group Fddd (No. 70, origin choice 2)
Inequivalent atoms, fractional coordinates:
Na1 0.082 0.375 0.375 x16
Na2 0.125 0.330 0.125 x16
Bi1 0.000 0.000 0.500 x16
As1 0.125 0.125 0.125 x8
C1 0.024 0.029 0.711 x32
O1 0.014 0.090 0.770 x32
O2 0.032 0.278 0.896 x32
O3 0.054 0.054 0.067 x32
O4 0.090 0.282 0.532 x32

***

# 7
For Pr2Ga12Cu, the GGA-PBE geometry in Alexandria gives the theoretical XRD peak list in this record (CuKα).
Neutral-atom scattering factors, no anomalous dispersion.

Top 6 peaks for 10 to 80 degrees two-theta, by intensity:
Position (°2θ)	I/Imax	h k l
31.1	100	2 0 2
41.2	66	2 2 0
31.0	59	1 1 4
40.9	36	1 1 6
52.5	31	3 1 4
37.3	29	2 0 4

Cell and atoms:
Cell: 6.196 6.196 15.326 Å, 90.00 90.00 90.00°
Space group P4/nbm (No. 125, origin choice 2)
Inequivalent atoms, fractional coordinates:
Pr1 0.250 0.750 0.245 x4
Ga1 0.000 0.000 0.085 x8
Ga2 0.080 0.580 0.430 x8
Ga3 0.250 0.250 0.181 x4
Ga4 0.250 0.250 0.343 x4
Cu1 0.250 0.750 0.000 x2

***

# 8
For BaAcMnN4, the GGA-PBE geometry in Alexandria gives the theoretical XRD peak list in this record (CuKα).
Neutral-atom scattering factors, no anomalous dispersion.

Top 6 peaks for 10 to 80 degrees two-theta, by intensity:
Position (°2θ)	I/Imax	h k l
22.0	100	1 1 0
29.5	59	1 1 -2
35.7	44	1 1 2
31.9	44	0 2 0
30.6	40	2 0 0
44.8	37	2 2 0

Cell and atoms:
Cell: 6.062 5.606 7.720 Å, 90.00 105.52 90.00°
Space group P2_1/m (No. 11)
Inequivalent atoms, fractional coordinates:
Ba1 0.229 0.250 0.441 x2
Ac1 0.262 0.250 0.954 x2
Mn1 0.283 0.750 0.197 x2
N1 0.092 0.750 0.326 x2
N2 0.132 0.750 0.976 x2
N3 0.456 0.507 0.236 x4